For AcPuS2N, a PBE-relaxed structure gives the calculated X-ray powder pattern in this record (Cu Kα X-rays).
Neutral-atom scattering factors, no anomalous dispersion.

Structural model:
```
data_AcPuS2N
_symmetry_space_group_name_H-M 'P 1'
_symmetry_Int_Tables_number 1
_cell_length_a 3.9976
_cell_length_b 3.9976
_cell_length_c 14.7199
_cell_angle_alpha 90.00
_cell_angle_beta 90.00
_cell_angle_gamma 90.00
loop_
_symmetry_equiv_pos_as_xyz
'x,y,z'
loop_
_atom_site_label
_atom_site_type_symbol
_atom_site_fract_x
_atom_site_fract_y
_atom_site_fract_z
Ac1 Ac 0.2500 0.2500 0.1362
Ac2 Ac 0.7500 0.7500 0.8638
Pu1 Pu 0.2500 0.2500 0.5734
Pu2 Pu 0.7500 0.7500 0.4266
S1 S 0.2500 0.2500 0.3265
S2 S 0.2500 0.2500 0.9146
S3 S 0.7500 0.7500 0.0854
S4 S 0.7500 0.7500 0.6735
N1 N 0.2500 0.7500 0.5000
N2 N 0.7500 0.2500 0.5000
```

Peak list (6 most intense, 10 to 80 degrees two-theta, in order of falling intensity)
Position (°2θ), I (rel.)
25.35, 100
31.65, 62
37.96, 51
52.69, 30
60.60, 27
45.37, 26

For Ga8Co3Cu2, a PBE-relaxed structure gives the calculated X-ray powder pattern in this record (Cu Kα X-rays).
Neutral-atom scattering factors, no anomalous dispersion.

Structural model:
```
data_Ga8Co3Cu2
_symmetry_space_group_name_H-M 'P 1'
_symmetry_Int_Tables_number 1
_cell_length_a 7.0049
_cell_length_b 4.1133
_cell_length_c 7.0145
_cell_angle_alpha 90.00
_cell_angle_beta 108.67
_cell_angle_gamma 90.00
loop_
_symmetry_equiv_pos_as_xyz
'x,y,z'
loop_
_atom_site_label
_atom_site_type_symbol
_atom_site_fract_x
_atom_site_fract_y
_atom_site_fract_z
Ga1 Ga 0.1177 0.0000 0.3594
Ga2 Ga 0.1185 0.5000 0.8827
Ga3 Ga 0.3584 0.0000 0.1181
Ga4 Ga 0.3729 0.5000 0.6271
Ga5 Ga 0.6271 0.5000 0.3729
Ga6 Ga 0.6416 0.0000 0.8819
Ga7 Ga 0.8823 0.0000 0.6406
Ga8 Ga 0.8815 0.5000 0.1173
Co1 Co 0.2588 0.5000 0.2594
Co2 Co 0.5000 0.0000 0.5000
Co3 Co 0.7412 0.5000 0.7406
Cu1 Cu 0.2550 0.0000 0.7460
Cu2 Cu 0.7450 0.0000 0.2540
```

Peak list (6 most intense, 10 to 80 degrees two-theta, in order of falling intensity)
Position (°2θ), I (rel.)
44.60, 100
44.03, 27
44.33, 25
64.26, 16
26.77, 15
30.84, 12

For Be4IrSe, a PBE-relaxed structure gives the calculated X-ray powder pattern in this record (Cu Kα X-rays).
Neutral-atom scattering factors, no anomalous dispersion.

Structural model:
```
data_Be4IrSe
_symmetry_space_group_name_H-M 'P 1'
_symmetry_Int_Tables_number 1
_cell_length_a 4.5061
_cell_length_b 4.5061
_cell_length_c 4.5061
_cell_angle_alpha 60.00
_cell_angle_beta 60.00
_cell_angle_gamma 60.00
loop_
_symmetry_equiv_pos_as_xyz
'x,y,z'
loop_
_atom_site_label
_atom_site_type_symbol
_atom_site_fract_x
_atom_site_fract_y
_atom_site_fract_z
Be1 Be 0.1230 0.1230 0.1230
Be2 Be 0.1230 0.1230 0.6310
Be3 Be 0.1230 0.6310 0.1230
Be4 Be 0.6310 0.1230 0.1230
Ir1 Ir 0.7500 0.7500 0.7500
Se1 Se 0.5000 0.5000 0.5000
```

Peak list (6 most intense, 10 to 80 degrees two-theta, in order of falling intensity)
Position (°2θ), I (rel.)
24.19, 100
40.02, 79
47.31, 63
72.69, 27
63.65, 21
77.89, 20

For CeRe2Si2B, a PBE-relaxed structure gives the calculated X-ray powder pattern in this record (Cu Kα X-rays).
Neutral-atom scattering factors, no anomalous dispersion.

Structural model:
```
data_CeRe2Si2B
_symmetry_space_group_name_H-M 'P 1'
_symmetry_Int_Tables_number 1
_cell_length_a 4.2327
_cell_length_b 4.2327
_cell_length_c 5.2703
_cell_angle_alpha 90.00
_cell_angle_beta 90.00
_cell_angle_gamma 90.00
loop_
_symmetry_equiv_pos_as_xyz
'x,y,z'
loop_
_atom_site_label
_atom_site_type_symbol
_atom_site_fract_x
_atom_site_fract_y
_atom_site_fract_z
Ce1 Ce 0.0000 0.0000 0.0000
Re1 Re 0.0000 0.5000 0.5000
Re2 Re 0.5000 0.0000 0.5000
Si1 Si 0.5000 0.5000 0.2280
Si2 Si 0.5000 0.5000 0.7720
B1 B 0.0000 0.0000 0.5000
```

Peak list (6 most intense, 10 to 80 degrees two-theta, in order of falling intensity)
Position (°2θ), I (rel.)
34.46, 100
42.73, 35
16.82, 29
72.92, 23
34.02, 21
55.71, 21

For Hf7In2Bi2, a PBE-relaxed structure gives the calculated X-ray powder pattern in this record (Cu Kα X-rays).
Neutral-atom scattering factors, no anomalous dispersion.

Structural model:
```
data_Hf7In2Bi2
_symmetry_space_group_name_H-M 'P 1'
_symmetry_Int_Tables_number 1
_cell_length_a 7.2111
_cell_length_b 7.2111
_cell_length_c 5.8322
_cell_angle_alpha 107.65
_cell_angle_beta 107.65
_cell_angle_gamma 94.52
loop_
_symmetry_equiv_pos_as_xyz
'x,y,z'
loop_
_atom_site_label
_atom_site_type_symbol
_atom_site_fract_x
_atom_site_fract_y
_atom_site_fract_z
Hf1 Hf 0.0000 0.0000 0.0000
Hf2 Hf 0.0658 0.5880 0.7862
Hf3 Hf 0.2867 0.2867 0.5238
Hf4 Hf 0.4120 0.9342 0.2138
Hf5 Hf 0.5880 0.0658 0.7862
Hf6 Hf 0.7133 0.7133 0.4762
Hf7 Hf 0.9342 0.4120 0.2138
In1 In 0.1537 0.8463 0.5000
In2 In 0.8463 0.1537 0.5000
Bi1 Bi 0.3531 0.3531 0.0884
Bi2 Bi 0.6469 0.6469 0.9116
```

Peak list (6 most intense, 10 to 80 degrees two-theta, in order of falling intensity)
Position (°2θ), I (rel.)
35.49, 100
36.34, 72
38.46, 55
33.85, 53
31.80, 45
36.75, 29

For ScAl6Tc, a PBE-relaxed structure gives the calculated X-ray powder pattern in this record (Cu Kα X-rays).
Neutral-atom scattering factors, no anomalous dispersion.

Structural model:
```
data_ScAl6Tc
_symmetry_space_group_name_H-M 'P 1'
_symmetry_Int_Tables_number 1
_cell_length_a 7.0292
_cell_length_b 7.0292
_cell_length_c 7.0292
_cell_angle_alpha 47.18
_cell_angle_beta 47.18
_cell_angle_gamma 47.18
loop_
_symmetry_equiv_pos_as_xyz
'x,y,z'
loop_
_atom_site_label
_atom_site_type_symbol
_atom_site_fract_x
_atom_site_fract_y
_atom_site_fract_z
Sc1 Sc 0.0000 0.0000 0.0000
Al1 Al 0.0611 0.5774 0.5774
Al2 Al 0.4226 0.4226 0.9389
Al3 Al 0.4226 0.9389 0.4226
Al4 Al 0.5774 0.0611 0.5774
Al5 Al 0.5774 0.5774 0.0611
Al6 Al 0.9389 0.4226 0.4226
Tc1 Tc 0.5000 0.5000 0.5000
```

Peak list (6 most intense, 10 to 80 degrees two-theta, in order of falling intensity)
Position (°2θ), I (rel.)
26.42, 100
18.82, 87
38.18, 80
20.56, 76
43.33, 69
42.91, 37

What did the fourth record say?
For CeRe2Si2B, a PBE-relaxed structure gives the calculated X-ray powder pattern in this record (Cu Kα X-rays).
Neutral-atom scattering factors, no anomalous dispersion.

Structural model:
```
data_CeRe2Si2B
_symmetry_space_group_name_H-M 'P 1'
_symmetry_Int_Tables_number 1
_cell_length_a 4.2327
_cell_length_b 4.2327
_cell_length_c 5.2703
_cell_angle_alpha 90.00
_cell_angle_beta 90.00
_cell_angle_gamma 90.00
loop_
_symmetry_equiv_pos_as_xyz
'x,y,z'
loop_
_atom_site_label
_atom_site_type_symbol
_atom_site_fract_x
_atom_site_fract_y
_atom_site_fract_z
Ce1 Ce 0.0000 0.0000 0.0000
Re1 Re 0.0000 0.5000 0.5000
Re2 Re 0.5000 0.0000 0.5000
Si1 Si 0.5000 0.5000 0.2280
Si2 Si 0.5000 0.5000 0.7720
B1 B 0.0000 0.0000 0.5000
```

Peak list (6 most intense, 10 to 80 degrees two-theta, in order of falling intensity)
Position (°2θ), I (rel.)
34.46, 100
42.73, 35
16.82, 29
72.92, 23
34.02, 21
55.71, 21